# 1
This entry pairs a crystal structure of Sc8Tl with its simulated powder diffraction line list. Radiation: λ = 1.5418 Å (Cu Kα). Structure: DFT lattice parameters and positions (GGA-PBE).
Neutral-atom scattering factors, no anomalous dispersion.

Peak list (10 most intense, 2θ from 10° to 80°, sorted by position)
12.8 deg, I 36
18.1 deg, I 19
21.6 deg, I 21
28.4 deg, I 24
33.9 deg, I 100
38.7 deg, I 12
39.0 deg, I 33
39.9 deg, I 16
57.0 deg, I 21
67.4 deg, I 24

Structure:
```
Sc8Tl
1.0
-4.898 4.898 2.261
4.898 -4.898 2.261
4.898 4.898 -2.261
Sc Tl
8 1
direct
0.000 0.336 0.336
0.000 0.664 0.664
0.336 0.000 0.336
0.336 0.336 0.672
0.336 0.664 0.000
0.664 0.000 0.664
0.664 0.336 0.000
0.664 0.664 0.328
0.000 0.000 0.000
```

***

# 2
This entry pairs a crystal structure of KNaThF6 with its simulated powder diffraction line list. Radiation: λ = 1.5418 Å (Cu Kα). Structure: DFT lattice parameters and positions (GGA-PBE).
Neutral-atom scattering factors, no anomalous dispersion.

Peak list (10 most intense, 2θ from 10° to 80°, sorted by position)
15.6 deg, I 37
17.7 deg, I 100
22.6 deg, I 69
27.5 deg, I 32
28.5 deg, I 52
35.9 deg, I 14
36.9 deg, I 29
43.5 deg, I 52
46.1 deg, I 15
55.1 deg, I 18

Structure:
```
KNaThF6
1.0
5.573 0.000 0.000
0.000 5.573 0.000
0.000 0.000 11.373
K Na Th F
2 2 2 12
direct
0.000 0.000 0.000
0.500 0.500 0.500
0.000 0.000 0.328
0.500 0.500 0.828
0.000 0.000 0.665
0.500 0.500 0.165
0.174 0.174 0.509
0.200 0.200 0.806
0.215 0.215 0.178
0.285 0.715 0.678
0.300 0.700 0.306
0.326 0.674 0.009
0.674 0.326 0.009
0.700 0.300 0.306
0.715 0.285 0.678
0.785 0.785 0.178
0.800 0.800 0.806
0.826 0.826 0.509
```

***

# 3
This entry pairs a crystal structure of NdTcB2O8 with its simulated powder diffraction line list. Radiation: λ = 1.5418 Å (Cu Kα). Structure: DFT lattice parameters and positions (GGA-PBE).
Neutral-atom scattering factors, no anomalous dispersion.

Peak list (10 most intense, 2θ from 10° to 80°, sorted by position)
20.8 deg, I 100
27.1 deg, I 12
34.4 deg, I 55
36.4 deg, I 30
46.0 deg, I 36
51.0 deg, I 25
57.1 deg, I 15
60.3 deg, I 11
64.3 deg, I 17
68.6 deg, I 11

Structure:
```
NdTcB2O8
1.0
4.931 0.000 0.000
-2.466 4.270 0.000
0.000 0.000 6.574
Nd Tc B O
1 1 2 8
direct
0.000 0.000 0.000
0.000 0.000 0.500
0.333 0.667 0.237
0.667 0.333 0.763
0.173 0.346 0.322
0.173 0.827 0.322
0.333 0.667 0.023
0.346 0.173 0.678
0.654 0.827 0.322
0.667 0.333 0.977
0.827 0.173 0.678
0.827 0.654 0.678
```

***

# 4
This entry pairs a crystal structure of Pm3InHg4 with its simulated powder diffraction line list. Radiation: λ = 1.5418 Å (Cu Kα). Structure: DFT lattice parameters and positions (GGA-PBE).
Neutral-atom scattering factors, no anomalous dispersion.

Peak list (10 most intense, 2θ from 10° to 80°, sorted by position)
25.9 deg, I 25
30.2 deg, I 36
30.8 deg, I 100
34.0 deg, I 58
40.7 deg, I 30
43.7 deg, I 26
44.2 deg, I 37
56.9 deg, I 26
62.9 deg, I 27
71.7 deg, I 18

Structure:
```
Pm3InHg4
1.0
-4.102 4.102 3.434
4.102 -4.102 3.434
4.102 4.102 -3.434
Pm In Hg
3 1 4
direct
0.000 0.000 0.000
0.250 0.750 0.500
0.750 0.250 0.500
0.500 0.500 0.000
0.259 0.259 0.517
0.259 0.741 0.000
0.741 0.259 0.000
0.741 0.741 0.483
```

***

# 5
This entry pairs a crystal structure of Mo11Os4 with its simulated powder diffraction line list. Radiation: λ = 1.5418 Å (Cu Kα). Structure: DFT lattice parameters and positions (GGA-PBE).
Neutral-atom scattering factors, no anomalous dispersion.

Peak list (10 most intense, 2θ from 10° to 80°, sorted by position)
20.1 deg, I 18
36.1 deg, I 31
38.2 deg, I 88
39.4 deg, I 27
41.9 deg, I 66
42.5 deg, I 100
43.5 deg, I 70
45.0 deg, I 20
69.3 deg, I 38
70.1 deg, I 23

Structure:
```
Mo11Os4
1.0
9.707 0.000 0.000
0.000 9.707 0.000
0.000 0.000 4.976
Mo Os
22 8
direct
0.000 0.000 0.000
0.036 0.370 0.500
0.104 0.104 0.500
0.130 0.536 0.000
0.182 0.818 0.251
0.182 0.818 0.749
0.318 0.318 0.249
0.318 0.318 0.751
0.370 0.036 0.500
0.396 0.604 0.000
0.464 0.870 0.000
0.500 0.500 0.500
0.536 0.130 0.000
0.604 0.396 0.000
0.630 0.964 0.500
0.682 0.682 0.249
0.682 0.682 0.751
0.818 0.182 0.251
0.818 0.182 0.749
0.870 0.464 0.000
0.896 0.896 0.500
0.964 0.630 0.500
0.068 0.263 0.000
0.237 0.568 0.500
0.263 0.068 0.000
0.432 0.763 0.500
0.568 0.237 0.500
0.737 0.932 0.000
0.763 0.432 0.500
0.932 0.737 0.000
```

***

# 6
This entry pairs a crystal structure of CaMn2H8 with its simulated powder diffraction line list. Radiation: λ = 1.5418 Å (Cu Kα). Structure: DFT lattice parameters and positions (GGA-PBE).
Neutral-atom scattering factors, no anomalous dispersion.

Peak list (10 most intense, 2θ from 10° to 80°, sorted by position)
19.7 deg, I 48
30.2 deg, I 100
30.3 deg, I 66
39.8 deg, I 30
40.0 deg, I 87
45.0 deg, I 18
50.8 deg, I 27
57.7 deg, I 19
57.8 deg, I 38
66.6 deg, I 21

Structure:
```
CaMn2H8
1.0
4.511 0.000 0.000
0.000 3.895 2.266
0.000 -3.895 2.266
Ca Mn H
1 2 8
direct
0.000 0.000 0.000
0.500 0.299 0.647
0.500 0.647 0.299
0.246 0.529 0.973
0.246 0.973 0.529
0.260 0.493 0.493
0.500 0.227 0.980
0.500 0.980 0.227
0.740 0.493 0.493
0.754 0.529 0.973
0.754 0.973 0.529
```

***

# 7
This entry pairs a crystal structure of RbZr2Pt2 with its simulated powder diffraction line list. Radiation: λ = 1.5418 Å (Cu Kα). Structure: DFT lattice parameters and positions (GGA-PBE).
Neutral-atom scattering factors, no anomalous dispersion.

Peak list (10 most intense, 2θ from 10° to 80°, sorted by position)
14.4 deg, I 18
22.8 deg, I 25
32.5 deg, I 62
38.3 deg, I 100
42.8 deg, I 16
44.1 deg, I 14
45.1 deg, I 13
53.4 deg, I 17
65.9 deg, I 22
72.9 deg, I 13

Structure:
```
RbZr2Pt2
1.0
8.706 0.000 0.000
0.000 8.706 0.000
0.000 0.000 2.943
Rb Zr Pt
2 4 4
direct
0.000 0.000 0.000
0.500 0.500 0.000
0.125 0.375 0.500
0.375 0.875 0.500
0.625 0.125 0.500
0.875 0.625 0.500
0.164 0.664 0.000
0.336 0.164 0.000
0.664 0.836 0.000
0.836 0.336 0.000
```

***

# 8
This entry pairs a crystal structure of TbH12Rh5 with its simulated powder diffraction line list. Radiation: λ = 1.5418 Å (Cu Kα). Structure: DFT lattice parameters and positions (GGA-PBE).
Neutral-atom scattering factors, no anomalous dispersion.

Peak list (10 most intense, 2θ from 10° to 80°, sorted by position)
20.2 deg, I 45
26.9 deg, I 70
33.5 deg, I 57
35.0 deg, I 54
36.6 deg, I 100
36.7 deg, I 47
37.1 deg, I 82
37.5 deg, I 93
37.7 deg, I 40
41.1 deg, I 37

Structure:
```
TbH12Rh5
1.0
4.799 0.000 0.000
-2.187 4.702 0.000
-0.324 -2.605 6.769
Tb H Rh
1 12 5
direct
0.000 0.000 0.000
0.118 0.395 0.575
0.145 0.507 0.230
0.206 0.145 0.750
0.406 0.136 0.493
0.450 0.834 0.034
0.478 0.240 0.265
0.522 0.760 0.735
0.550 0.166 0.966
0.594 0.864 0.507
0.794 0.855 0.250
0.855 0.493 0.770
0.882 0.605 0.425
0.000 0.000 0.500
0.228 0.530 0.822
0.439 0.881 0.271
0.561 0.119 0.729
0.772 0.470 0.178
```